This entry pairs a crystal structure of SiO2 with its computed X-ray diffraction stick pattern. Radiation: Cu Ka. Structure: DFT lattice parameters and positions (GGA-PBE).
No peak broadening, texture or thermal motion is included.

Crystal structure
Unit cell a=5.0295 b=8.3899 c=14.1411 alpha=90.00 beta=90.00 gamma=90.00
Element x y z (fractional)
Si 0.1159 0.1810 0.2018
Si 0.1159 0.1810 0.7982
Si 0.2474 0.1176 0.0000
Si 0.2526 0.6176 0.5000
Si 0.3841 0.6810 0.2982
Si 0.3841 0.6810 0.7018
Si 0.6159 0.3190 0.2982
Si 0.6159 0.3190 0.7018
Si 0.7474 0.3824 0.5000
Si 0.7526 0.8824 0.0000
Si 0.8841 0.8190 0.2018
Si 0.8841 0.8190 0.7982
O 0.0000 0.0000 0.0000
O 0.0000 0.0000 0.2080
O 0.0000 0.0000 0.7920
O 0.0000 0.5000 0.5000
O 0.1316 0.6993 0.2261
O 0.1316 0.6993 0.7739
O 0.2311 0.2246 0.0960
O 0.2311 0.2246 0.9040
O 0.2689 0.7246 0.4040
O 0.2689 0.7246 0.5960
O 0.3684 0.1993 0.2739
O 0.3684 0.1993 0.7261
O 0.5000 0.0000 0.0000
O 0.5000 0.5000 0.2920
O 0.5000 0.5000 0.5000
O 0.5000 0.5000 0.7080
O 0.6316 0.8007 0.2739
O 0.6316 0.8007 0.7261
O 0.7311 0.2754 0.4040
O 0.7311 0.2754 0.5960
O 0.7689 0.7754 0.0960
O 0.7689 0.7754 0.9040
O 0.8684 0.3007 0.2261
O 0.8684 0.3007 0.7739

Top 10 peaks for 2θ = 10–80°, low angle first:
d/Å  I/Imax  (hkl)
7.216  100.0  0 1 1
7.071  22.9  0 0 2
4.195  17.3  0 2 0
4.126  53.6  1 1 1
3.608  15.9  0 2 2
3.535  17.7  0 0 4
3.439  17.7  1 0 3
3.221  31.7  1 2 0
2.680  11.5  0 1 5
2.465  10.3  1 0 5